The following is a calculated X-ray diffraction stick pattern of AcCdHgPd2. It was derived from a GGA-PBE-relaxed structure, using Cu Kα.

Structure:
```
10
Lattice="2.942 -6.945 0.000 2.942 6.945 0.000 0.000 0.000 5.913" Properties=species:S:1:pos:R:3 pbc="T T T"
Ac 2.942 3.473 4.512
Ac 2.942 -3.473 1.402
Cd 1.471 0.000 2.957
Cd 4.413 0.000 2.957
Hg 0.000 0.000 0.000
Hg 2.942 0.000 0.000
Pd 2.942 4.811 1.704
Pd 2.942 2.134 1.704
Pd 2.942 -2.134 4.209
Pd 2.942 -4.811 4.209
```

Top 10 peaks for 10° ≤ 2θ ≤ 90°, low angle first:
2theta, I (rel.)
25.7, 36
28.8, 57
30.4, 47
32.9, 100
34.0, 20
36.5, 42
38.9, 72
43.1, 37
45.4, 32
52.7, 21